This entry pairs a crystal structure of Ti2GaRh6 with its theoretical powder X-ray diffraction pattern. Radiation: CuKα. Structure: a crystal structure in Alexandria, relaxed with PBE.
Lines closer than 0.1° are merged.

Main lines, in order of rising 2θ (10 to 90 degrees two-theta):
two_theta, I_rel
26.6, 9.3
30.7, 69.2
43.8, 25.4
44.0, 100.0
44.3, 24.4
54.4, 9.2
54.9, 8.9
64.1, 15.7
80.6, 24.1
81.4, 15.7

Crystal structure
```
9
Lattice="6.467 -2.915 0.000 6.467 2.915 0.000 -1.322 0.000 3.919" Properties=species:S:1:pos:R:3 pbc="T T T"
Ti 1.916 0.000 0.641
Ti 9.697 0.000 3.279
Ga 5.806 0.000 1.960
Rh 3.870 1.462 1.309
Rh 6.467 1.448 0.000
Rh 7.743 1.462 2.610
Rh 3.870 -1.462 1.309
Rh 6.467 -1.448 0.000
Rh 7.743 -1.462 2.610
```

This entry pairs a crystal structure of K2CeI5 with its theoretical powder X-ray diffraction pattern. Radiation: CuKα. Structure: a crystal structure in Alexandria, relaxed with PBE.
Lines closer than 0.1° are merged.

Main lines, in order of rising 2θ (10 to 90 degrees two-theta):
two_theta, I_rel
11.3, 55.8
23.6, 65.7
26.1, 80.5
26.4, 40.8
26.9, 100.0
29.0, 61.1
30.2, 57.4
32.6, 45.8
36.2, 48.3
41.7, 40.3

Crystal structure
```
32
Lattice="14.696 0.000 0.000 0.000 9.935 0.000 0.000 0.000 9.310" Properties=species:S:1:pos:R:3 pbc="T T T"
K 2.549 0.024 0.512
K 2.549 4.944 0.512
K 4.799 4.991 5.167
K 4.799 9.911 5.167
K 9.897 0.024 4.143
K 9.897 4.944 4.143
K 12.147 4.991 8.797
K 12.147 9.911 8.797
Ce 0.071 2.484 5.382
Ce 7.277 7.451 0.727
Ce 7.419 2.484 8.582
Ce 14.625 7.451 3.928
I 0.118 2.484 8.652
I 1.141 5.420 6.206
I 1.141 9.482 6.206
I 2.650 2.484 3.468
I 3.032 7.451 3.130
I 4.316 2.484 7.785
I 4.698 7.451 8.122
I 6.207 0.453 1.551
I 6.207 4.515 1.551
I 7.230 7.451 3.998
I 7.466 2.484 5.312
I 8.489 5.420 7.758
I 8.489 9.482 7.758
I 9.998 2.484 1.187
I 10.380 7.451 1.525
I 11.665 2.484 6.180
I 12.046 7.451 5.842
I 13.555 0.453 3.103
I 13.555 4.515 3.103
I 14.578 7.451 0.657
```

This entry pairs a crystal structure of La5Nd3Dy with its theoretical powder X-ray diffraction pattern. Radiation: CuKα. Structure: a crystal structure in Alexandria, relaxed with PBE.
Lines closer than 0.1° are merged.

Main lines, in order of rising 2θ (10 to 90 degrees two-theta):
two_theta, I_rel
27.7, 100.0
30.1, 94.1
31.0, 12.4
33.1, 11.5
36.0, 17.9
41.3, 22.7
50.5, 22.1
54.9, 19.1
62.3, 13.5
76.6, 12.7

Crystal structure
```
18
Lattice="-4.556 4.556 7.823 4.556 -4.556 7.823 4.556 4.556 -7.823" Properties=species:S:1:pos:R:3 pbc="T T T"
La 0.000 0.000 0.000
La 6.451 1.895 -2.184
La 1.895 2.661 -2.184
La 6.451 1.895 2.184
La 1.895 2.661 2.184
La 0.000 0.000 7.823
La 2.661 1.895 5.639
La -1.895 2.661 5.639
La 2.661 1.895 10.007
La -1.895 2.661 10.007
Nd 3.502 1.054 0.000
Nd 0.000 0.000 3.911
Nd 3.502 -1.054 7.823
Nd 1.054 5.610 0.000
Nd 0.000 0.000 11.734
Nd 1.054 3.502 7.823
Dy 4.556 0.000 3.911
Dy 0.000 4.556 3.911
```